TbSi2Au4: simulated X-ray diffraction stick pattern (Cu Ka), based on a cell relaxed with PBE.

The 10 most intense peaks (2θ = 10–90°), by angle:
Position (°2θ)  I/Imax  index
12.9  18  0 2 0
35.1  100  1 3 1
39.5  16  0 6 0
41.2  18  0 0 2
41.4  18  2 0 0
59.8  12  2 0 2
68.9  14  1 9 1
71.1  13  1 3 3
71.4  13  3 3 1
74.1  10  2 6 2

Atomic structure:
```
data_TbSi2Au4
_symmetry_space_group_name_H-M 'C m m m'
_symmetry_Int_Tables_number 65
_symmetry_space_group_name_Hall '-C 2 2'
_cell_length_a 4.3657
_cell_length_b 13.6726
_cell_length_c 4.3842
_cell_angle_alpha 90.00
_cell_angle_beta 90.00
_cell_angle_gamma 90.00
loop_
_atom_site_label
_atom_site_fract_x
_atom_site_fract_y
_atom_site_fract_z
Tb1 0.0000 0.0000 0.0000
Si1 0.0000 0.4149 0.5000
Au1 0.0000 0.1720 0.5000
Au2 0.0000 0.3283 0.0000
```